Li9Mn2Co5O16: theoretical X-ray powder pattern (CuKα), based on a GGA+U-relaxed structure.
Intensities are scaled so that the largest is 100.

Atomic structure:
```
Li9Mn2Co5O16
1.0
2.912 0.000 0.000
-0.068 5.114 0.000
-0.881 -1.462 19.220
Li Mn Co O
9 2 5 16
Cartesian
0.000 0.000 0.000 Li
-0.338 0.085 7.205 Li
2.302 3.567 12.015 Li
-0.120 1.711 2.331 Li
1.214 0.941 4.823 Li
1.016 -0.731 9.610 Li
1.422 2.557 0.000 Li
0.750 2.711 14.397 Li
2.083 1.941 16.888 Li
0.659 -0.676 16.881 Mn
1.304 4.328 2.338 Mn
-0.474 1.826 9.610 Co
-0.239 3.480 4.797 Co
1.077 2.678 7.189 Co
0.887 0.974 12.030 Co
2.202 0.172 14.422 Co
-0.281 1.901 6.023 O
-0.809 0.139 17.879 O
-0.464 0.211 10.881 O
-0.092 -0.109 3.536 O
0.593 0.908 15.580 O
1.048 4.277 5.942 O
0.874 2.609 10.756 O
1.365 0.745 1.350 O
0.599 2.908 17.870 O
1.089 1.043 8.464 O
0.915 -0.625 13.278 O
1.370 2.744 3.639 O
2.056 3.761 15.683 O
2.427 3.442 8.339 O
2.772 3.513 1.341 O
2.245 1.752 13.196 O
```

Largest 8 diffraction maxima, low angle first, 2θ from 15° to 90°:
- 2θ = 18.3°, intensity 100, hkl 0 1 1
- 2θ = 35.3°, intensity 16, hkl 1 0 -4
- 2θ = 36.0°, intensity 14, hkl 0 1 -7
- 2θ = 36.9°, intensity 12, hkl 1 0 4
- 2θ = 42.5°, intensity 30, hkl -1 1 5
- 2θ = 43.7°, intensity 27, hkl 0 2 -6
- 2θ = 44.6°, intensity 25, hkl 1 1 5
- 2θ = 62.4°, intensity 8, hkl 1 1 -11